Nb3P: theoretical PXRD pattern (CuKα), based on DFT lattice parameters and positions (PBE).

Peak list (10 most intense, 2θ from 5° to 70°, in order of rising 2θ)
- (3 1 1), 32.8°, rel. 34
- (2 3 1), 36.3°, rel. 100
- (1 1 2), 37.3°, rel. 61
- (3 3 0), 37.4°, rel. 42
- (4 0 1), 39.4°, rel. 33
- (2 4 0), 39.5°, rel. 36
- (4 1 1), 40.5°, rel. 78
- (2 2 2), 43.4°, rel. 42
- (5 1 0), 45.3°, rel. 18
- (5 5 0), 64.6°, rel. 33

Structural model:
```
data_Nb3P
_chemical_formula_sum 'Nb24 P8'
_cell_length_a 10.202
_cell_length_b 10.202
_cell_length_c 5.121
_cell_angle_alpha 90.00
_cell_angle_beta 90.00
_cell_angle_gamma 90.00
_space_group_name_H-M_alt 'P 42/n'
_space_group_IT_number 86
loop_
_space_group_symop_operation_xyz
'x,y,z'
'-x,-y,-z'
'-y,x+1/2,z+1/2'
'y,-x+1/2,-z+1/2'
'-x+1/2,-y+1/2,z'
'x+1/2,y+1/2,-z'
'y+1/2,-x,z+1/2'
'-y+1/2,x,-z+1/2'
loop_
_atom_site_label
_atom_site_type_symbol
_atom_site_fract_x
_atom_site_fract_y
_atom_site_fract_z
Nb1 Nb 0.037 0.559 0.240
Nb2 Nb 0.105 0.237 0.015
Nb3 Nb 0.153 0.664 0.726
P1 P 0.043 0.226 0.519
```

---

LiNd2IrO6: theoretical PXRD pattern (CuKα), based on DFT lattice parameters and positions (PBE).

Peak list (10 most intense, 2θ from 5° to 70°, in order of rising 2θ)
- (0 1 1), 19.0°, rel. 77
- (1 0 -2), 20.0°, rel. 44
- (0 2 0), 30.6°, rel. 39
- (1 1 1), 32.0°, rel. 100
- (1 1 -3), 32.3°, rel. 100
- (2 0 -2), 32.9°, rel. 52
- (2 2 -2), 45.5°, rel. 36
- (0 0 4), 46.7°, rel. 29
- (1 3 0), 51.2°, rel. 28
- (2 0 2), 58.0°, rel. 34

Structural model:
```
data_LiNd2IrO6
_chemical_formula_sum 'Li2 Nd4 Ir2 O12'
_cell_length_a 5.452
_cell_length_b 5.841
_cell_length_c 9.460
_cell_angle_alpha 90.00
_cell_angle_beta 124.62
_cell_angle_gamma 90.00
_space_group_name_H-M_alt 'P 1 21/c 1'
_space_group_IT_number 14
loop_
_space_group_symop_operation_xyz
'x,y,z'
'-x,-y,-z'
'-x,y+1/2,-z+1/2'
'x,-y+1/2,z+1/2'
loop_
_atom_site_label
_atom_site_type_symbol
_atom_site_fract_x
_atom_site_fract_y
_atom_site_fract_z
Li1 Li 0.000 0.000 0.000
Nd1 Nd 0.230 0.074 0.748
Ir1 Ir 0.500 0.000 0.500
O1 O 0.152 0.187 0.452
O2 O 0.267 0.711 0.447
O3 O 0.353 0.030 0.254
```

---

CoPtN2: theoretical PXRD pattern (CuKα), based on DFT lattice parameters and positions (PBE).

Peak list (10 most intense, 2θ from 5° to 70°, in order of rising 2θ)
- (0 0 2), 14.5°, rel. 68
- (0 0 4), 29.3°, rel. 60
- (0 2 1), 38.0°, rel. 100
- (1 1 2), 40.2°, rel. 62
- (0 2 3), 43.6°, rel. 45
- (0 0 6), 44.5°, rel. 8
- (0 2 5), 53.4°, rel. 36
- (1 1 6), 59.5°, rel. 24
- (0 2 7), 66.1°, rel. 20
- (1 3 0), 67.3°, rel. 15

Structural model:
```
data_CoPtN2
_chemical_formula_sum 'Co4 Pt4 N8'
_cell_length_a 2.789
_cell_length_b 4.815
_cell_length_c 12.203
_cell_angle_alpha 90.00
_cell_angle_beta 90.00
_cell_angle_gamma 90.00
_space_group_name_H-M_alt 'C m c m'
_space_group_IT_number 63
_space_group_name_Hall '-C 2c 2'
loop_
_atom_site_label
_atom_site_type_symbol
_atom_site_fract_x
_atom_site_fract_y
_atom_site_fract_z
Co1 Co 0.000 0.000 0.000
Pt1 Pt 0.000 0.335 0.250
N1 N 0.000 0.335 0.087
```

---

Li3Ti2P3O12: theoretical PXRD pattern (CuKα), based on DFT lattice parameters and positions (PBE).

Peak list (10 most intense, 2θ from 5° to 70°, in order of rising 2θ)
- (0 1 2), 14.3°, rel. 63
- (1 0 4), 19.6°, rel. 54
- (1 1 3), 24.0°, rel. 100
- (0 2 4), 28.8°, rel. 38
- (1 1 6), 31.5°, rel. 63
- (3 -1 1), 32.4°, rel. 17
- (3 0 0), 36.6°, rel. 16
- (3 0 3), 38.6°, rel. 17
- (2 2 6), 49.1°, rel. 14
- (2 1 10), 51.7°, rel. 17

Structural model:
```
data_Li3Ti2P3O12
_chemical_formula_sum 'Li18 Ti12 P18 O72'
_cell_length_a 8.4977
_cell_length_b 8.4977
_cell_length_c 22.8952
_cell_angle_alpha 90.00
_cell_angle_beta 90.00
_cell_angle_gamma 120.00
_space_group_name_H-M_alt 'R -3'
_space_group_IT_number 148
_space_group_name_Hall '-R 3'
loop_
_atom_site_label
_atom_site_type_symbol
_atom_site_fract_x
_atom_site_fract_y
_atom_site_fract_z
Li1 Li 0.0185 0.6395 0.2172
Ti1 Ti 0.0000 0.0000 0.1517
Ti2 Ti 0.0000 0.0000 0.3535
P1 P 0.9996 0.2912 0.2503
O1 O 0.0030 0.8052 0.6934
O2 O 0.0505 0.2162 0.5893
O3 O 0.0927 0.2391 0.1999
O4 O 0.0964 0.2332 0.8978
```